# Fe4O5F3
Simulated PXRD pattern, Cu Kα. Input: DFT lattice parameters and positions (GGA+U).

The 10 most intense peaks (10° ≤ 2θ ≤ 80°), in order of rising 2θ:
- (1 0 -2), 26.76°, I 88
- (1 0 2), 27.54°, I 94
- (0 2 2), 35.31°, I 100
- (2 2 -2), 52.92°, I 23
- (1 2 -4), 53.08°, I 25
- (2 2 2), 53.81°, I 26
- (1 2 4), 53.97°, I 28
- (0 4 0), 61.02°, I 17
- (3 2 0), 67.79°, I 27
- (0 2 6), 68.19°, I 28

Crystal structure
```
data_Fe4O5F3
_chemical_formula_sum 'Fe8 O10 F6'
_cell_length_a 4.662
_cell_length_b 6.074
_cell_length_c 9.260
_cell_angle_alpha 90.00
_cell_angle_beta 91.62
_cell_angle_gamma 90.00
_space_group_name_H-M_alt 'P 1 21/m 1'
_space_group_IT_number 11
loop_
_space_group_symop_operation_xyz
'x,y,z'
'-x,-y,-z'
'-x,y+1/2,-z'
'x,-y+1/2,z'
loop_
_atom_site_label
_atom_site_type_symbol
_atom_site_fract_x
_atom_site_fract_y
_atom_site_fract_z
_atom_site_occupancy
Fe1 Fe 0.000 0.000 0.000 1
Fe2 Fe 0.000 0.000 0.500 1
Fe3 Fe 0.439 0.250 0.261 1
Fe4 Fe 0.476 0.750 0.274 1
O1 O 0.178 0.250 0.096 1
O2 O 0.185 0.750 0.101 1
O3 O 0.186 0.250 0.592 1
O4 O 0.284 0.000 0.358 1
F1 F 0.206 0.750 0.605 1
F2 F 0.325 0.503 0.842 1
```